Entry 1:
Structure and computed X-ray powder pattern of LaCeMo12S16 (a GGA-PBE-relaxed structure; Cu Kα (λ = 1.5418 Å)).

```
LaCeMo12S16
1.0
6.5416 0.0000 0.0000
0.1145 6.5407 0.0000
0.2314 0.2291 13.0824
La Ce Mo S
1 1 12 16
direct
0.0000 0.0000 0.0000 La
0.0000 0.0000 0.5000 Ce
0.2246 0.4222 0.2824 Mo
0.2258 0.4179 0.7797 Mo
0.4205 0.5605 0.6112 Mo
0.4198 0.5639 0.1142 Mo
0.4372 0.7770 0.2913 Mo
0.4383 0.7726 0.7886 Mo
0.5617 0.2274 0.2114 Mo
0.5628 0.2230 0.7087 Mo
0.5802 0.4361 0.8858 Mo
0.5795 0.4395 0.3888 Mo
0.7742 0.5821 0.2203 Mo
0.7754 0.5778 0.7176 Mo
0.1269 0.7496 0.1882 S
0.1281 0.7490 0.6851 S
0.2423 0.2404 0.6198 S
0.2430 0.2448 0.1229 S
0.2487 0.6292 0.4370 S
0.2527 0.6241 0.9355 S
0.3715 0.1293 0.3765 S
0.3750 0.1255 0.8727 S
0.6250 0.8745 0.1273 S
0.6285 0.8707 0.6235 S
0.7473 0.3759 0.0645 S
0.7513 0.3708 0.5630 S
0.7570 0.7552 0.8771 S
0.7577 0.7596 0.3802 S
0.8719 0.2510 0.3149 S
0.8731 0.2504 0.8118 S
```

Largest 6 diffraction maxima, by angle, 15 to 90 degrees two-theta:
19.02 deg, I 69; 30.78 deg, I 77; 33.66 deg, I 71; 41.75 deg, I 85; 43.53 deg, I 68; 46.10 deg, I 100

---

Entry 2:
Structure and computed X-ray powder pattern of La3CeN3 (a GGA-PBE-relaxed structure; Cu Kα (λ = 1.5418 Å)).

```
La3CeN3
1.0
8.2613 0.0000 0.0000
-4.1307 7.1545 0.0000
0.0000 0.0000 5.5316
La Ce N
6 2 6
direct
0.1659 0.3318 0.2500 La
0.1659 0.8341 0.2500 La
0.3318 0.1659 0.7500 La
0.6682 0.8341 0.2500 La
0.8341 0.1659 0.7500 La
0.8341 0.6682 0.7500 La
0.3333 0.6667 0.7500 Ce
0.6667 0.3333 0.2500 Ce
0.1711 0.3422 0.7500 N
0.1711 0.8289 0.7500 N
0.3422 0.1711 0.2500 N
0.6578 0.8289 0.7500 N
0.8289 0.1711 0.2500 N
0.8289 0.6578 0.2500 N
```

Largest 6 diffraction maxima, by angle, 15 to 90 degrees two-theta:
24.89 deg, I 36; 29.74 deg, I 100; 32.37 deg, I 24; 43.83 deg, I 31; 53.87 deg, I 20; 55.53 deg, I 30

---

Entry 3:
Structure and computed X-ray powder pattern of La2CeN3 (a GGA-PBE-relaxed structure; Cu Kα (λ = 1.5418 Å)).

```
La2CeN3
1.0
-1.8483 1.8483 7.8114
1.8483 -1.8483 7.8114
1.8483 1.8483 -7.8114
La Ce N
2 1 3
direct
0.1630 0.1630 0.0000 La
0.8370 0.8370 0.0000 La
0.5000 0.5000 0.0000 Ce
0.0000 0.0000 0.0000 N
0.3462 0.3462 0.0000 N
0.6538 0.6538 0.0000 N
```

Largest 6 diffraction maxima, by angle, 15 to 90 degrees two-theta:
29.64 deg, I 100; 34.31 deg, I 51; 34.44 deg, I 25; 49.30 deg, I 18; 49.40 deg, I 35; 58.58 deg, I 31

---

Entry 4:
Structure and computed X-ray powder pattern of La2CeNbN4 (a GGA-PBE-relaxed structure; Cu Kα (λ = 1.5418 Å)).

```
La2CeNbN4
1.0
1.7439 -6.1177 0.0000
1.7439 6.1177 0.0000
0.0000 0.0000 12.9259
La Ce Nb N
4 2 2 8
direct
0.1320 0.8680 0.5353 La
0.1320 0.8680 0.9647 La
0.8680 0.1320 0.0353 La
0.8680 0.1320 0.4647 La
0.4014 0.5986 0.7500 Ce
0.5986 0.4014 0.2500 Ce
0.3335 0.6665 0.2500 Nb
0.6665 0.3335 0.7500 Nb
0.0580 0.9420 0.7500 N
0.2282 0.7718 0.1366 N
0.2282 0.7718 0.3634 N
0.5000 0.5000 0.0000 N
0.5000 0.5000 0.5000 N
0.7718 0.2282 0.6366 N
0.7718 0.2282 0.8634 N
0.9420 0.0580 0.2500 N
```

Largest 6 diffraction maxima, by angle, 15 to 90 degrees two-theta:
25.28 deg, I 31; 27.60 deg, I 51; 29.20 deg, I 39; 30.02 deg, I 100; 34.54 deg, I 27; 36.64 deg, I 70

---

Entry 5:
Structure and computed X-ray powder pattern of La2CeOsN4 (a GGA-PBE-relaxed structure; Cu Kα (λ = 1.5418 Å)).

```
La2CeOsN4
1.0
1.7203 -6.0188 0.0000
1.7203 6.0188 0.0000
0.0000 0.0000 12.3692
La Ce Os N
4 2 2 8
direct
0.1327 0.8673 0.5467 La
0.1327 0.8673 0.9533 La
0.8673 0.1327 0.0467 La
0.8673 0.1327 0.4533 La
0.3899 0.6101 0.7500 Ce
0.6101 0.3899 0.2500 Ce
0.3479 0.6521 0.2500 Os
0.6521 0.3479 0.7500 Os
0.0519 0.9481 0.7500 N
0.2180 0.7820 0.1442 N
0.2180 0.7820 0.3558 N
0.5000 0.5000 0.0000 N
0.5000 0.5000 0.5000 N
0.7820 0.2180 0.6442 N
0.7820 0.2180 0.8558 N
0.9481 0.0519 0.2500 N
```

Largest 6 diffraction maxima, by angle, 15 to 90 degrees two-theta:
28.87 deg, I 44; 29.69 deg, I 55; 30.64 deg, I 100; 37.37 deg, I 93; 41.89 deg, I 24; 62.17 deg, I 36

---

Entry 6:
Structure and computed X-ray powder pattern of LaCeSN (a GGA-PBE-relaxed structure; Cu Kα (λ = 1.5418 Å)).

```
LaCeSN
1.0
1.9029 1.0987 6.5334
-1.9029 1.0987 6.5334
0.0000 -2.1973 6.5334
La Ce S N
1 1 1 1
direct
0.0000 0.0000 0.0000 La
0.5247 0.5247 0.5247 Ce
0.7653 0.7653 0.7653 S
0.2538 0.2538 0.2538 N
```

Largest 6 diffraction maxima, by angle, 15 to 90 degrees two-theta:
27.30 deg, I 22; 28.57 deg, I 75; 32.75 deg, I 100; 46.17 deg, I 28; 47.80 deg, I 37; 55.92 deg, I 20